Calculated X-ray powder pattern of Ce2Si3Pt3 for Cu Kα, 1.54184 Å, from a DFT-relaxed cell (PBE, Alexandria).
Kinematic intensities with the Lorentz-polarization factor, no thermal factor.

Structure:
a = 2.7575 Å, b = 2.7575 Å, c = 20.6431 Å
α = 90.00°, β = 90.00°, γ = 90.00°
Space group P4/mmm (No. 123)
One atom of each set of equivalent atoms:
Ce 0.0000 0.0000 0.2477 [2 per cell]
Si 0.0000 0.0000 0.0000 [1 per cell]
Si 0.0000 0.0000 0.3860 [2 per cell]
Pt 0.0000 0.0000 0.1147 [2 per cell]
Pt 0.0000 0.0000 0.5000 [1 per cell]

Top 8 peaks for 2θ = 10–90°, by angle:
(0 0 3), 12.87°, d 6.881, I 61; (0 0 5), 21.52°, d 4.129, I 29; (1 0 0), 32.47°, d 2.758, I 100; (0 0 8), 34.77°, d 2.580, I 36; (1 0 5), 39.29°, d 2.293, I 27; (1 1 0), 46.58°, d 1.950, I 37; (1 0 8), 48.30°, d 1.884, I 58; (1 1 8), 59.41°, d 1.556, I 31